This entry pairs a crystal structure of CuSbCl4 with its simulated X-ray powder pattern. Radiation: Cu Kα (λ = 1.5418 Å). Structure: the GGA-PBE geometry in Alexandria.

a = 5.838 Å, b = 5.848 Å, c = 11.561 Å
α = 90.00°, β = 90.00°, γ = 90.00°
Space group P222 (No. 16)
Unique sites:
Cu 0.000 0.000 0.000 x1
Cu 0.000 0.500 0.500 x1
Sb 0.000 0.000 0.500 x1
Sb 0.500 0.000 0.000 x1
Cl 0.217 0.239 0.877 x4
Cl 0.242 0.283 0.379 x4

Peak list (10 most intense, 5° ≤ 2θ ≤ 70°, most intense first)
15.33°, 5.780 Å, I 100, (0 0 2); 17.01°, 5.214 Å, I 81, (1 0 1); 44.08°, 2.055 Å, I 72, (2 0 4); 26.52°, 3.361 Å, I 60, (1 1 2); 15.16°, 5.844 Å, I 54, (0 1 0); 21.62°, 4.110 Å, I 45, (0 1 2); 34.36°, 2.610 Å, I 39, (0 2 2); 43.83°, 2.066 Å, I 35, (2 2 0); 35.20°, 2.549 Å, I 28, (1 2 1); 27.74°, 3.216 Å, I 25, (1 0 3)